Diffraction record for MgZn4Co6O16. The XRD peak list is computed, not measured: it uses the GGA+U geometry in Alexandria and Cu Kα, 1.54184 Å.
Intensities are scaled so that the largest is 100.

Most intense lines, 10 to 80 degrees two-theta, in order of rising 2θ:
(0 0 2), 2θ = 18.52°, d 4.792, rel. 100
(0 1 2), 2θ = 29.47°, d 3.031, rel. 39
(1 0 -3), 2θ = 29.59°, d 3.019, rel. 38
(1 -1 3), 2θ = 32.87°, d 2.725, rel. 38
(2 -2 0), 2θ = 36.25°, d 2.478, rel. 36
(2 0 0), 2θ = 36.82°, d 2.441, rel. 76
(0 2 0), 2θ = 37.07°, d 2.425, rel. 52
(2 0 -2), 2θ = 37.19°, d 2.418, rel. 70
(1 -2 3), 2θ = 38.62°, d 2.331, rel. 44
(2 2 -2), 2θ = 63.82°, d 1.458, rel. 33

Cell and atoms:
a b c (Å): 5.748 5.758 10.011
angles (deg): 99.92 96.85 119.06
Fractional positions:
Mg 0.000 0.000 0.000
Zn 0.101 0.435 0.527
Zn 0.285 0.645 0.927
Zn 0.608 0.541 0.139
Zn 0.715 0.712 0.437
Co 0.144 0.618 0.252
Co 0.147 0.120 0.265
Co 0.211 0.052 0.742
Co 0.635 0.109 0.253
Co 0.698 0.539 0.742
Co 0.701 0.051 0.745
O 0.071 0.783 0.848
O 0.074 0.237 0.859
O 0.322 0.494 0.373
O 0.335 0.321 0.649
O 0.341 0.855 0.647
O 0.362 0.997 0.353
O 0.392 0.181 0.142
O 0.412 0.733 0.138
O 0.583 0.270 0.846
O 0.625 0.790 0.857
O 0.802 0.316 0.647
O 0.823 0.828 0.642
O 0.866 0.491 0.360
O 0.871 0.042 0.370
O 0.929 0.226 0.154
O 0.969 0.758 0.139